Diffraction record for Ba2AlCr3O7. The powder XRD pattern is computed, not measured: it uses a PBE+U-relaxed structure and Cu Kα.

Cell and atoms:
a b c (Å): 3.8275 3.9665 11.5636
angles (deg): 90.00 90.00 90.00
Space group Pmmm (No. 47)
One atom of each set of equivalent atoms:
Ba (0.0000, 0.0000, 0.1854)
Al (0.0000, 0.0000, 0.5000)
Cr (0.5000, 0.5000, 0.0000)
Cr (0.5000, 0.5000, 0.3609)
O (0.0000, 0.5000, 0.3927)
O (0.5000, 0.0000, 0.0000)
O (0.5000, 0.0000, 0.3924)
O (0.5000, 0.5000, 0.1803)

Principal peaks in the range 10 to 80 degrees two-theta, low angle first:
(hkl)	2θ (°)	intensity
1 0 2	27.96	31
0 1 3	32.39	87
1 1 0	32.51	100
1 0 3	32.98	99
0 0 5	38.94	31
0 2 0	45.75	38
2 0 0	47.51	32
1 2 3	57.54	38
1 1 6	58.45	31
2 1 3	58.67	31